1.
# Nd6SnRh3
Theoretical X-ray diffraction stick pattern, CuKα. Input: DFT lattice parameters and positions (PBE).

Crystal structure
Cell: 11.8018 4.2719 12.2092 Å, 90.00 108.28 90.00°
Sites, in units of the cell vectors:
Nd (0.0278, 0.2500, 0.3906)
Nd (0.1091, 0.2500, 0.9477)
Nd (0.2157, 0.7500, 0.2660)
Nd (0.2958, 0.7500, 0.7639)
Nd (0.3631, 0.2500, 0.5360)
Nd (0.4233, 0.7500, 0.0916)
Nd (0.5767, 0.2500, 0.9084)
Nd (0.6369, 0.7500, 0.4640)
Nd (0.7042, 0.2500, 0.2361)
Nd (0.7843, 0.2500, 0.7340)
Nd (0.8909, 0.7500, 0.0523)
Nd (0.9722, 0.7500, 0.6094)
Sn (0.4478, 0.2500, 0.3053)
Sn (0.5522, 0.7500, 0.6947)
Rh (0.0478, 0.2500, 0.1637)
Rh (0.1807, 0.7500, 0.5016)
Rh (0.3431, 0.2500, 0.9206)
Rh (0.6569, 0.7500, 0.0794)
Rh (0.8193, 0.2500, 0.4984)
Rh (0.9522, 0.7500, 0.8363)

Peak list (8 most intense, 10° ≤ 2θ ≤ 90°, in order of falling intensity)
- d = 3.105 Å, I = 100
- d = 2.984 Å, I = 91
- d = 2.136 Å, I = 75
- d = 2.812 Å, I = 64
- d = 2.944 Å, I = 51
- d = 2.287 Å, I = 45
- d = 2.904 Å, I = 43
- d = 3.128 Å, I = 43

***

2.
# NdSm2HoIn2
Theoretical X-ray diffraction stick pattern, CuKα. Input: DFT lattice parameters and positions (PBE).

Crystal structure
Cell: 5.2769 10.0230 6.8148 Å, 90.00 90.00 90.00°
Sites, in units of the cell vectors:
Nd (0.0000, 0.0395, 0.0000)
Nd (0.0000, 0.9605, 0.5000)
Sm (0.0000, 0.3210, 0.3558)
Sm (0.0000, 0.6790, 0.8558)
Sm (0.5000, 0.4582, 0.0757)
Sm (0.5000, 0.5418, 0.5757)
Ho (0.5000, 0.1835, 0.7239)
Ho (0.5000, 0.8165, 0.2239)
In (0.0000, 0.3551, 0.8280)
In (0.0000, 0.6449, 0.3280)
In (0.5000, 0.1389, 0.2546)
In (0.5000, 0.8611, 0.7546)

Peak list (8 most intense, 10° ≤ 2θ ≤ 90°, in order of falling intensity)
- d = 2.822 Å, I = 100
- d = 2.752 Å, I = 61
- d = 2.638 Å, I = 43
- d = 2.863 Å, I = 33
- d = 1.925 Å, I = 20
- d = 1.543 Å, I = 20
- d = 1.556 Å, I = 17
- d = 1.603 Å, I = 16

***

3.
# BaLiTcN2
Theoretical X-ray diffraction stick pattern, CuKα. Input: DFT lattice parameters and positions (PBE).

Crystal structure
Cell: 6.4729 6.4729 5.0583 Å, 90.00 90.00 133.46°
Sites, in units of the cell vectors:
Ba (0.2500, 0.7500, 0.7523)
Ba (0.7500, 0.2500, 0.2477)
Li (0.0000, 0.0000, 0.0000)
Li (0.5000, 0.5000, 0.0000)
Tc (0.2500, 0.2500, 0.5000)
Tc (0.7500, 0.7500, 0.5000)
N (0.1036, 0.8964, 0.3006)
N (0.3964, 0.6036, 0.3006)
N (0.6036, 0.3964, 0.6994)
N (0.8964, 0.1036, 0.6994)

Peak list (8 most intense, 10° ≤ 2θ ≤ 90°, in order of falling intensity)
- d = 3.443 Å, I = 100
- d = 2.664 Å, I = 94
- d = 2.327 Å, I = 70
- d = 2.349 Å, I = 65
- d = 2.973 Å, I = 59
- d = 5.058 Å, I = 53
- d = 3.853 Å, I = 52
- d = 1.798 Å, I = 36

***

4.
# Sm3Si6PdRh2
Theoretical X-ray diffraction stick pattern, CuKα. Input: DFT lattice parameters and positions (PBE).

Crystal structure
Cell: 5.3684 5.3684 9.1745 Å, 90.00 90.00 120.00°
Sites, in units of the cell vectors:
Sm (0.0000, 0.0000, 0.0000)
Sm (0.3333, 0.6667, 0.5822)
Sm (0.6667, 0.3333, 0.4178)
Si (0.1686, 0.3372, 0.2758)
Si (0.1686, 0.8314, 0.2758)
Si (0.3372, 0.1686, 0.7242)
Si (0.6628, 0.8314, 0.2758)
Si (0.8314, 0.1686, 0.7242)
Si (0.8314, 0.6628, 0.7242)
Pd (0.0000, 0.0000, 0.5000)
Rh (0.3333, 0.6667, 0.0750)
Rh (0.6667, 0.3333, 0.9250)

Peak list (8 most intense, 10° ≤ 2θ ≤ 90°, in order of falling intensity)
- d = 2.684 Å, I = 100
- d = 2.317 Å, I = 90
- d = 3.265 Å, I = 90
- d = 2.057 Å, I = 61
- d = 2.074 Å, I = 40
- d = 1.395 Å, I = 35
- d = 4.587 Å, I = 34
- d = 1.641 Å, I = 24

***

5.
# SmBe3Pd10
Theoretical X-ray diffraction stick pattern, CuKα. Input: DFT lattice parameters and positions (PBE).

Crystal structure
Cell: 8.4215 8.4215 8.4215 Å, 60.00 60.00 60.00°
Sites, in units of the cell vectors:
Sm (0.2500, 0.2500, 0.2500)
Sm (0.7500, 0.7500, 0.7500)
Be (0.2290, 0.2290, 0.7710)
Be (0.2290, 0.7710, 0.2290)
Be (0.2290, 0.7710, 0.7710)
Be (0.7710, 0.2290, 0.2290)
Be (0.7710, 0.2290, 0.7710)
Be (0.7710, 0.7710, 0.2290)
Pd (0.1163, 0.1163, 0.1163)
Pd (0.1163, 0.1163, 0.6511)
Pd (0.1163, 0.6511, 0.1163)
Pd (0.1631, 0.5000, 0.5000)
Pd (0.1631, 0.5000, 0.8369)
Pd (0.1631, 0.8369, 0.5000)
Pd (0.3489, 0.8837, 0.8837)
Pd (0.5000, 0.1631, 0.5000)
Pd (0.5000, 0.1631, 0.8369)
Pd (0.5000, 0.5000, 0.1631)
Pd (0.5000, 0.5000, 0.8369)
Pd (0.5000, 0.8369, 0.1631)
Pd (0.5000, 0.8369, 0.5000)
Pd (0.6511, 0.1163, 0.1163)
Pd (0.8369, 0.1631, 0.5000)
Pd (0.8369, 0.5000, 0.1631)
Pd (0.8369, 0.5000, 0.5000)
Pd (0.8837, 0.3489, 0.8837)
Pd (0.8837, 0.8837, 0.3489)
Pd (0.8837, 0.8837, 0.8837)

Peak list (8 most intense, 10° ≤ 2θ ≤ 90°, in order of falling intensity)
- d = 2.292 Å, I = 100
- d = 2.663 Å, I = 59
- d = 2.013 Å, I = 46
- d = 2.431 Å, I = 33
- d = 1.404 Å, I = 30
- d = 2.105 Å, I = 22
- d = 1.216 Å, I = 19
- d = 1.444 Å, I = 19

***

6.
# Gd4PdO7
Theoretical X-ray diffraction stick pattern, CuKα. Input: DFT lattice parameters and positions (PBE).

Crystal structure
Cell: 6.8498 7.2017 7.8330 Å, 69.01 71.71 84.46°
Sites, in units of the cell vectors:
Gd (0.1331, 0.3556, 0.3557)
Gd (0.1631, 0.3252, 0.8804)
Gd (0.2902, 0.8981, 0.2303)
Gd (0.2925, 0.8744, 0.7137)
Gd (0.7075, 0.1256, 0.2863)
Gd (0.7098, 0.1019, 0.7697)
Gd (0.8369, 0.6748, 0.1196)
Gd (0.8669, 0.6444, 0.6443)
Pd (0.5000, 0.5000, 0.0000)
Pd (0.5000, 0.5000, 0.5000)
O (0.0069, 0.2917, 0.6744)
O (0.0597, 0.1542, 0.2024)
O (0.2000, 0.5703, 0.0056)
O (0.2369, 0.6448, 0.5881)
O (0.3422, 0.0389, 0.9002)
O (0.3471, 0.0874, 0.4033)
O (0.4396, 0.5724, 0.2424)
O (0.5604, 0.4276, 0.7576)
O (0.6529, 0.9126, 0.5967)
O (0.6578, 0.9611, 0.0998)
O (0.7631, 0.3552, 0.4119)
O (0.8000, 0.4297, 0.9944)
O (0.9403, 0.8458, 0.7976)
O (0.9931, 0.7083, 0.3256)

Peak list (8 most intense, 10° ≤ 2θ ≤ 90°, in order of falling intensity)
- d = 3.009 Å, I = 100
- d = 2.841 Å, I = 65
- d = 2.907 Å, I = 37
- d = 2.732 Å, I = 34
- d = 2.074 Å, I = 19
- d = 1.949 Å, I = 18
- d = 1.671 Å, I = 17
- d = 2.107 Å, I = 16